(1)
For XeF3, a DFT-relaxed cell (PBE, Alexandria) gives the computed X-ray powder pattern in this record (Cu Ka).
Neutral-atom scattering factors, no anomalous dispersion.

Atomic structure:
abc: 6.8882 7.5513 6.5597
angles: 90.00 92.64 90.00
Space group P2_1/c (No. 14)
Unique sites:
Xe: 0.0000 0.0000 0.0000 x2
Xe: 0.5000 0.0000 0.5000 x2
F: 0.9999 0.0894 0.2937 x4
F: 0.2684 0.1086 0.9699 x4
F: 0.3303 0.6803 0.8315 x4

Peak list (6 most intense, 2θ from 10° to 90°, sorted by position)
Position (°2θ)	intensity	index
21.75	100	1 1 -1
22.49	82	1 1 1
23.56	42	0 2 0
25.90	28	2 0 0
35.29	34	2 2 0
36.30	28	0 2 2



(2)
For YF, a DFT-relaxed cell (PBE, Alexandria) gives the computed X-ray powder pattern in this record (Cu Ka).
Neutral-atom scattering factors, no anomalous dispersion.

Atomic structure:
abc: 6.6130 6.6130 3.7968
angles: 90.00 90.00 90.00
Space group P4_2/mnm (No. 136)
Unique sites:
Y: 0.2083 0.2083 0.0000 x4
F: 0.1329 0.8671 0.0000 x4

Peak list (6 most intense, 2θ from 10° to 90°, sorted by position)
Position (°2θ)	intensity	index
26.97	82	2 0 0
27.08	35	1 0 1
30.32	100	1 1 1
38.53	31	2 2 0
47.71	32	3 0 1
49.77	52	3 1 1



(3)
For YF4, a DFT-relaxed cell (PBE, Alexandria) gives the computed X-ray powder pattern in this record (Cu Ka).
Neutral-atom scattering factors, no anomalous dispersion.

Atomic structure:
abc: 4.3726 4.3726 4.3726
angles: 90.00 90.00 90.00
Space group P-43m (No. 215)
Unique sites:
Y: 0.0000 0.0000 0.0000 x1
F: 0.2756 0.2756 0.2756 x4

Peak list (6 most intense, 2θ from 10° to 90°, sorted by position)
Position (°2θ)	intensity	index
20.31	85	1 0 0
28.88	100	1 1 0
35.56	61	1 1 1
46.44	63	2 1 0
51.17	38	2 1 1
59.82	32	2 2 0



(4)
For YZnF, a DFT-relaxed cell (PBE, Alexandria) gives the computed X-ray powder pattern in this record (Cu Ka).
Neutral-atom scattering factors, no anomalous dispersion.

Atomic structure:
abc: 12.6986 3.6924 5.9125
angles: 90.00 117.47 90.00
Space group Cm (No. 8)
Unique sites:
Y: 0.0000 0.0000 0.0000 x2
Y: 0.1486 0.5000 0.6404 x2
Zn: 0.2289 0.5000 0.2257 x2
Zn: 0.3111 0.0000 0.0408 x2
F: 0.0485 0.0000 0.4278 x2
F: 0.4956 0.0000 0.7406 x2

Peak list (6 most intense, 2θ from 10° to 90°, sorted by position)
Position (°2θ)	intensity	index
16.91	44	0 0 1
28.08	50	2 0 1
28.21	37	4 0 -1
32.72	98	3 1 -1
34.05	100	3 1 0
39.87	92	1 1 -2



(5)
For YZrF7, a DFT-relaxed cell (PBE, Alexandria) gives the computed X-ray powder pattern in this record (Cu Ka).
Neutral-atom scattering factors, no anomalous dispersion.

Atomic structure:
abc: 6.1129 5.8619 8.3444
angles: 90.00 103.25 90.00
Space group P2_1 (No. 4)
Unique sites:
Y: 0.1511 0.0000 0.1884 x2
Zr: 0.3182 0.0033 0.7260 x2
F: 0.0170 0.7314 0.0074 x2
F: 0.0808 0.7535 0.7072 x2
F: 0.0925 0.2652 0.7077 x2
F: 0.2691 0.0009 0.4760 x2
F: 0.3635 0.0048 0.9746 x2
F: 0.4281 0.2678 0.2551 x2
F: 0.4329 0.7419 0.2604 x2

Peak list (6 most intense, 2θ from 10° to 90°, sorted by position)
Position (°2θ)	intensity	index
21.28	100	1 1 0
21.89	37	0 0 2
25.51	18	1 1 1
28.08	22	1 1 -2
42.96	19	2 2 -1
50.75	19	2 2 -3



(6)
For YbF3, a DFT-relaxed cell (PBE, Alexandria) gives the computed X-ray powder pattern in this record (Cu Ka).
Neutral-atom scattering factors, no anomalous dispersion.

Atomic structure:
abc: 6.2235 6.8935 4.7609
angles: 90.00 90.00 90.00
Space group Pnma (No. 62)
Unique sites:
Yb: 0.1365 0.2500 0.0401 x4
F: 0.0328 0.7500 0.3728 x4
F: 0.1603 0.5636 0.8490 x8

Peak list (6 most intense, 2θ from 10° to 90°, sorted by position)
Position (°2θ)	intensity	index
23.53	55	1 0 1
25.85	51	0 2 0
26.89	100	1 1 1
31.54	50	2 1 0
46.23	34	1 3 1
50.02	30	2 1 2



(7)
For YbZr3F15, a DFT-relaxed cell (PBE, Alexandria) gives the computed X-ray powder pattern in this record (Cu Ka).
Neutral-atom scattering factors, no anomalous dispersion.

Atomic structure:
abc: 10.5567 12.5905 8.1994
angles: 90.00 106.10 90.00
Space group C2/c (No. 15)
Unique sites:
Yb: 0.0000 0.1776 0.2500 x4
Zr: 0.0000 0.2476 0.7500 x4
Zr: 0.2119 0.4656 0.3248 x8
F: 0.0000 0.4672 0.2500 x4
F: 0.0280 0.2523 0.0036 x8
F: 0.1260 0.0612 0.1515 x8
F: 0.1408 0.3653 0.7782 x8
F: 0.1432 0.1342 0.7795 x8
F: 0.1491 0.1029 0.4717 x8
F: 0.1520 0.3092 0.3190 x8
F: 0.1662 0.4840 0.0537 x8

Peak list (6 most intense, 2θ from 10° to 90°, sorted by position)
Position (°2θ)	intensity	index
22.53	100	0 0 2
22.93	41	1 3 0
24.48	16	2 0 -2
27.36	27	2 2 1
30.57	34	1 3 -2
44.45	23	2 0 -4



(8)
For ZnF, a DFT-relaxed cell (PBE, Alexandria) gives the computed X-ray powder pattern in this record (Cu Ka).
Neutral-atom scattering factors, no anomalous dispersion.

Atomic structure:
abc: 4.2040 3.0242 4.8527
angles: 90.00 115.50 90.00
Space group P2_1/m (No. 11)
Unique sites:
Zn: 0.1156 0.2500 0.2303 x2
F: 0.2943 0.7500 0.5885 x2

Peak list (6 most intense, 2θ from 10° to 90°, sorted by position)
Position (°2θ)	intensity	index
23.47	100	1 0 -1
36.09	95	0 1 1
43.03	35	2 0 -1
48.44	61	1 1 -2
57.33	23	2 1 0
57.43	22	2 1 -2



(9)
For ZnF, a DFT-relaxed cell (PBE, Alexandria) gives the computed X-ray powder pattern in this record (Cu Ka).
Neutral-atom scattering factors, no anomalous dispersion.

Atomic structure:
abc: 9.9896 9.9896 2.9520
angles: 90.00 90.00 90.00
Space group I4/m (No. 87)
Unique sites:
Zn: 0.1680 0.6885 0.0000 x8
F: 0.0153 0.6862 0.5000 x8

Peak list (6 most intense, 2θ from 10° to 90°, sorted by position)
Position (°2θ)	intensity	index
12.53	60	1 1 0
17.76	100	2 0 0
28.25	56	3 1 0
36.48	90	2 1 1
38.22	20	3 3 0
48.62	68	1 4 1



(10)
For Zn2F3, a DFT-relaxed cell (PBE, Alexandria) gives the computed X-ray powder pattern in this record (Cu Ka).
Neutral-atom scattering factors, no anomalous dispersion.

Atomic structure:
abc: 10.1559 4.0290 6.5987
angles: 90.00 95.32 90.00
Space group C2/m (No. 12)
Unique sites:
Zn: 0.1010 0.0000 0.4296 x4
Zn: 0.1360 0.5000 0.9108 x4
F: 0.0578 0.5000 0.1956 x4
F: 0.1681 0.0000 0.9424 x4
F: 0.2152 0.5000 0.6352 x4

Peak list (6 most intense, 2θ from 10° to 90°, sorted by position)
Position (°2θ)	intensity	index
27.83	100	1 1 1
31.06	30	2 0 -2
33.89	18	2 0 2
35.51	22	4 0 0
45.00	29	0 2 0
53.70	19	5 1 1